Theoretical XRD peak list
Compound: CaNi2RuC
Radiation: λ = 1.5418 Å (Cu Kα)
Structure: a cell relaxed with GGA-PBE
Lines closer than 0.1° are merged.

Largest 10 diffraction maxima, most intense first, 2θ from 10° to 90°:
- 2θ 38.84, intensity 100
- 2θ 45.44, intensity 36
- 2θ 65.53, intensity 22
- 2θ 79.50, intensity 22
- 2θ 44.55, intensity 19
- 2θ 22.27, intensity 16
- 2θ 78.22, intensity 12
- 2θ 83.35, intensity 11
- 2θ 66.22, intensity 11
- 2θ 31.40, intensity 6

Structural model:
Unit cell a=3.992 b=3.992 c=4.067 alpha=90.00 beta=90.00 gamma=90.00
Element x y z (fractional)
Ca (0.000, 0.000, 0.000)
Ni (0.000, 0.500, 0.500)
Ni (0.500, 0.000, 0.500)
Ru (0.500, 0.500, 0.000)
C (0.500, 0.500, 0.500)


Theoretical XRD peak list
Compound: CaC2O5
Radiation: λ = 1.5418 Å (Cu Kα)
Structure: a cell relaxed with GGA-PBE
Lines closer than 0.1° are merged.

Largest 10 diffraction maxima, most intense first, 2θ from 10° to 90°:
- 2θ 14.80, intensity 100
- 2θ 24.01, intensity 93
- 2θ 29.86, intensity 60
- 2θ 15.03, intensity 36
- 2θ 37.56, intensity 33
- 2θ 37.04, intensity 30
- 2θ 36.85, intensity 24
- 2θ 43.58, intensity 21
- 2θ 39.54, intensity 18
- 2θ 46.75, intensity 18

Structural model:
Unit cell a=6.272 b=6.272 c=6.227 alpha=102.89 beta=102.89 gamma=72.44
Element x y z (fractional)
Ca (0.190, 0.190, 0.007)
Ca (0.810, 0.810, 0.993)
C (0.065, 0.065, 0.454)
C (0.394, 0.606, 0.000)
C (0.606, 0.394, 0.000)
C (0.935, 0.935, 0.546)
O (0.042, 0.042, 0.245)
O (0.180, 0.180, 0.600)
O (0.207, 0.572, 0.007)
O (0.340, 0.340, 0.412)
O (0.428, 0.793, 0.993)
O (0.572, 0.207, 0.007)
O (0.660, 0.660, 0.588)
O (0.793, 0.428, 0.993)
O (0.820, 0.820, 0.400)
O (0.958, 0.958, 0.755)